This entry pairs a crystal structure of Na2Al4Ge3Au with its computed X-ray diffraction stick pattern. Radiation: Cu Kα, 1.54184 Å. Structure: a cell relaxed with GGA-PBE.
Intensities are scaled so that the largest is 100.

```
Na2Al4Ge3Au
1.0
4.3820 0.0000 0.0000
0.0000 4.3820 0.0000
0.0000 0.0000 10.7640
Na Al Ge Au
2 4 3 1
Cartesian
0.0000 2.1910 2.5741
2.1910 0.0000 8.1898
0.0000 0.0000 5.3820
0.0000 2.1910 9.3381
2.1910 0.0000 1.4259
2.1910 2.1910 5.3820
0.0000 0.0000 0.0000
0.0000 2.1910 6.8140
2.1910 0.0000 3.9499
2.1910 2.1910 0.0000
```

Peak list (10 most intense, 2θ from 5° to 70°, in order of falling intensity)
2θ/deg  d [Å]  I/Imax
33.4  2.686  100
8.2  10.764  84
44.6  2.031  81
30.0  2.978  62
41.2  2.191  57
16.5  5.382  56
21.9  4.059  44
32.2  2.776  29
26.2  3.398  28
24.8  3.588  26

***

This entry pairs a crystal structure of BaZnAgF6 with its computed X-ray diffraction stick pattern. Radiation: Cu Kα, 1.54184 Å. Structure: a cell relaxed with GGA-PBE.
Intensities are scaled so that the largest is 100.

```
BaZnAgF6
1.0
5.5804 0.0000 0.0000
-0.1180 5.6412 0.0000
-0.1116 -2.5694 5.0377
Ba Zn Ag F
1 1 1 6
Cartesian
0.0000 0.0000 0.0000
2.6671 2.9347 1.6567
2.6745 0.1450 3.3739
1.3999 3.5446 0.2378
1.5553 1.1562 1.8325
1.5159 3.8968 3.1761
3.8223 2.0249 0.1068
3.7885 1.9828 3.1669
3.9177 4.4873 1.7384
```

Peak list (10 most intense, 2θ from 5° to 70°, in order of falling intensity)
2θ/deg  d [Å]  I/Imax
23.4  3.799  100
24.4  3.645  92
24.2  3.675  89
31.7  2.820  57
46.2  1.965  49
30.3  2.950  35
45.3  2.001  33
43.8  2.067  28
38.8  2.322  27
39.8  2.265  23

***

This entry pairs a crystal structure of ZrUSe3 with its computed X-ray diffraction stick pattern. Radiation: Cu Kα, 1.54184 Å. Structure: a cell relaxed with GGA-PBE.
Intensities are scaled so that the largest is 100.

```
ZrUSe3
1.0
1.9760 -10.1736 0.0000
1.9760 10.1736 0.0000
0.0000 0.0000 6.8515
Zr U Se
2 2 6
Cartesian
1.9760 6.7844 3.4257
1.9760 -6.7844 0.0000
1.9760 3.3074 3.4148
1.9760 -3.3074 6.8405
1.9760 8.3963 1.2498
1.9760 5.0708 5.6875
1.9760 1.8617 1.0203
1.9760 -1.8617 4.4461
1.9760 -5.0708 2.2617
1.9760 -8.3963 4.6755
```

Peak list (10 most intense, 2θ from 5° to 70°, in order of falling intensity)
2θ/deg  d [Å]  I/Imax
8.7  10.174  100
34.2  2.620  83
46.1  1.968  54
37.3  2.410  50
40.7  2.216  50
26.4  3.376  47
29.2  3.056  43
17.4  5.087  34
26.0  3.421  27
60.6  1.528  25

***

This entry pairs a crystal structure of KCeCl4O4 with its computed X-ray diffraction stick pattern. Radiation: Cu Kα, 1.54184 Å. Structure: a cell relaxed with GGA-PBE.
Intensities are scaled so that the largest is 100.

```
KCeCl4O4
1.0
7.1686 0.0000 0.0000
0.0000 9.9313 0.0000
0.0000 0.0000 6.2241
K Ce Cl O
2 2 8 8
Cartesian
0.0000 0.0000 0.6517
3.5843 4.9656 5.5724
0.0000 4.9656 3.0534
3.5843 0.0000 3.1707
0.8657 3.3495 0.8282
1.1863 1.3393 3.7512
2.3980 6.3050 2.4729
2.7186 8.3151 5.3959
4.4500 1.6161 5.3959
4.7706 3.6263 2.4729
5.9823 8.5919 3.7512
6.3029 6.5818 0.8282
0.2628 6.0162 5.1336
1.5290 3.6303 3.8761
2.0552 8.5959 2.3480
3.3215 1.0506 1.0905
3.8471 8.8806 1.0905
5.1133 1.3353 2.3480
5.6395 6.3009 3.8761
6.9058 3.9150 5.1336
```

Peak list (10 most intense, 2θ from 5° to 70°, in order of falling intensity)
2θ/deg  d [Å]  I/Imax
15.2  5.813  100
33.1  2.706  92
20.9  4.248  83
14.2  6.224  51
34.0  2.635  48
32.6  2.744  42
41.5  2.177  41
17.9  4.966  39
30.8  2.906  39
46.8  1.940  28